Starting from a PBE-relaxed structure, the XRD peak list of NaGdSe2 was simulated for Cu Kα, 1.54184 Å.

Structure:
abc: 4.2006 4.2006 21.0244
angles: 90.00 90.00 120.00
Space group R-3m (No. 166, hexagonal axes)
Symmetry-distinct sites (fractional):
Na  0.0000  0.0000  0.0000
Gd  0.0000  0.0000  0.5000
Se  0.0000  0.0000  0.2433

Peak list (8 most intense, 10 to 80 degrees two-theta, most intense first)
29.9°, I = 100, (1 0 4); 12.6°, I = 49, (0 0 3); 43.1°, I = 37, (1 1 0); 42.4°, I = 37, (0 1 8); 24.8°, I = 21, (1 0 1); 53.3°, I = 19, (0 2 4); 70.8°, I = 16, (2 1 4); 69.9°, I = 15, (1 1 12)

Starting from a PBE-relaxed structure, the XRD peak list of NaGdTl2 was simulated for Cu Kα, 1.54184 Å.

Structure:
abc: 7.724 7.724 7.724
angles: 90.00 90.00 90.00
Space group Fm-3m (No. 225)
Symmetry-distinct sites (fractional):
Na  0.000  0.000  0.000
Gd  0.000  0.000  0.500
Tl  0.250  0.250  0.250

Peak list (8 most intense, 10 to 80 degrees two-theta, most intense first)
32.8°, I = 100, (2 2 0); 58.5°, I = 39, (4 2 2); 47.1°, I = 18, (4 0 0); 23.0°, I = 17, (2 0 0); 78.3°, I = 17, (6 2 0); 68.7°, I = 12, (4 4 0); 19.9°, I = 12, (1 1 1); 53.0°, I = 8, (4 2 0)

Starting from a PBE-relaxed structure, the XRD peak list of Gd3NbO7 was simulated for Cu Kα, 1.54184 Å.

Structure:
abc: 7.603 14.646 5.433
angles: 90.00 90.00 90.00
Space group Cmme (No. 67)
Symmetry-distinct sites (fractional):
Gd  0.000  0.119  0.029
Gd  0.250  0.250  0.500
Nb  0.250  0.000  0.500
O  0.000  0.011  0.289
O  0.000  0.250  0.260
O  0.221  0.118  0.736

Peak list (8 most intense, 10 to 80 degrees two-theta, most intense first)
28.7°, I = 100, (2 0 1); 29.4°, I = 94, (0 4 1); 48.1°, I = 63, (2 4 2); 34.0°, I = 42, (2 4 0); 57.2°, I = 29, (4 4 1); 58.5°, I = 25, (2 8 1); 33.0°, I = 21, (0 0 2); 47.9°, I = 17, (4 0 0)